Starting from DFT lattice parameters and positions (PBE), the powder diffraction line list of SiO2 was simulated for copper Kα.
Intensities are scaled so that the largest is 1000.

Structural model:
```
SiO2
1.0
5.181 0.000 0.000
0.517 5.303 0.000
1.832 1.955 6.483
Si O
4 8
Direct
0.000 0.000 0.000
0.039 0.906 0.460
0.468 0.965 0.657
0.796 0.561 0.847
0.009 0.607 0.620
0.058 0.906 0.228
0.279 0.099 0.826
0.320 0.012 0.469
0.506 0.656 0.792
0.773 0.079 0.546
0.794 0.254 0.982
0.871 0.751 0.970
```

Peak list (10 most intense, 15° ≤ 2θ ≤ 90°, sorted by position)
17.47°, intensity 1000
17.74°, intensity 385
18.83°, intensity 315
23.27°, intensity 541
25.01°, intensity 375
25.24°, intensity 295
28.06°, intensity 135
28.93°, intensity 150
29.22°, intensity 418
41.77°, intensity 159

=====

Starting from DFT lattice parameters and positions (PBE), the powder diffraction line list of CeSe2 was simulated for copper Kα.
Intensities are scaled so that the largest is 1000.

Structural model:
```
CeSe2
1.0
5.641 0.000 0.000
0.000 6.884 0.000
0.000 0.000 16.472
Ce Se
8 16
Direct
0.000 0.001 0.000
0.000 0.491 0.260
0.000 0.509 0.760
0.000 0.999 0.500
0.500 0.004 0.695
0.500 0.472 0.454
0.500 0.528 0.954
0.500 0.996 0.195
0.000 0.133 0.166
0.000 0.395 0.931
0.000 0.605 0.431
0.000 0.867 0.666
0.246 0.321 0.600
0.246 0.679 0.100
0.253 0.156 0.354
0.253 0.844 0.854
0.500 0.139 0.026
0.500 0.382 0.787
0.500 0.618 0.287
0.500 0.861 0.526
0.747 0.156 0.354
0.747 0.844 0.854
0.754 0.321 0.600
0.754 0.679 0.100
```

Peak list (10 most intense, 15° ≤ 2θ ≤ 90°, sorted by position)
23.07°, intensity 972
26.45°, intensity 380
33.94°, intensity 519
34.80°, intensity 296
35.19°, intensity 956
36.10°, intensity 619
38.71°, intensity 1000
41.39°, intensity 452
44.00°, intensity 672
48.11°, intensity 310

=====

Starting from DFT lattice parameters and positions (PBE), the powder diffraction line list of GeSe2 was simulated for copper Kα.
Intensities are scaled so that the largest is 1000.

Structural model:
```
GeSe2
1.0
0.000 12.016 3.971
6.165 0.000 3.971
6.165 12.016 0.000
Ge Se
6 12
Direct
0.000 0.000 0.000
0.023 0.989 0.256
0.250 0.250 0.250
0.519 0.994 0.261
0.989 0.023 0.731
0.994 0.519 0.227
0.013 0.659 0.019
0.146 0.237 0.701
0.162 0.776 0.600
0.231 0.940 0.237
0.237 0.146 0.915
0.335 0.549 0.013
0.549 0.335 0.104
0.650 0.788 0.088
0.659 0.013 0.310
0.776 0.162 0.462
0.788 0.650 0.474
0.940 0.231 0.591
```

Peak list (10 most intense, 15° ≤ 2θ ≤ 90°, sorted by position)
22.80°, intensity 411
24.67°, intensity 864
26.70°, intensity 463
29.25°, intensity 1000
29.93°, intensity 536
30.64°, intensity 741
31.73°, intensity 396
42.76°, intensity 407
50.59°, intensity 424
53.60°, intensity 432

=====

Starting from DFT lattice parameters and positions (PBE), the powder diffraction line list of Cr21Mo2C6 was simulated for copper Kα.
Intensities are scaled so that the largest is 1000.

Structural model:
```
Cr21Mo2C6
1.0
0.000 5.322 5.322
5.322 0.000 5.322
5.322 5.322 0.000
Cr Mo C
21 2 6
Direct
0.000 0.000 0.000
0.000 0.000 0.338
0.000 0.000 0.662
0.000 0.338 0.000
0.000 0.338 0.662
0.000 0.662 0.000
0.000 0.662 0.338
0.152 0.616 0.616
0.338 0.000 0.000
0.338 0.000 0.662
0.338 0.662 0.000
0.384 0.384 0.384
0.384 0.384 0.848
0.384 0.848 0.384
0.616 0.152 0.616
0.616 0.616 0.152
0.616 0.616 0.616
0.662 0.000 0.000
0.662 0.000 0.338
0.662 0.338 0.000
0.848 0.384 0.384
0.250 0.250 0.250
0.750 0.750 0.750
0.276 0.276 0.724
0.276 0.724 0.276
0.276 0.724 0.724
0.724 0.276 0.276
0.724 0.276 0.724
0.724 0.724 0.276
```

Peak list (10 most intense, 15° ≤ 2θ ≤ 90°, sorted by position)
37.80°, intensity 462
41.57°, intensity 465
44.22°, intensity 1000
48.37°, intensity 303
50.74°, intensity 263
57.43°, intensity 142
73.35°, intensity 128
75.84°, intensity 283
77.69°, intensity 113
82.58°, intensity 64

=====

Starting from DFT lattice parameters and positions (PBE), the powder diffraction line list of Zn2P3CN3O12 was simulated for copper Kα.
Intensities are scaled so that the largest is 1000.

Structural model:
```
Zn2P3CN3O12
1.0
5.318 0.000 0.000
0.000 7.842 0.000
-0.131 0.000 16.932
Zn P C N O
4 6 2 6 24
Direct
0.196 0.000 0.420
0.204 0.209 0.085
0.796 0.709 0.915
0.804 0.500 0.580
0.297 0.598 0.002
0.308 0.601 0.486
0.457 0.111 0.254
0.543 0.611 0.746
0.692 0.101 0.514
0.703 0.098 0.998
0.120 0.103 0.759
0.880 0.603 0.241
0.103 0.682 0.228
0.221 0.103 0.685
0.239 0.024 0.819
0.761 0.524 0.181
0.779 0.603 0.315
0.897 0.182 0.772
0.148 0.634 0.925
0.158 0.559 0.561
0.195 0.446 0.048
0.207 0.755 0.440
0.249 0.755 0.057
0.270 0.443 0.432
0.271 0.022 0.309
0.308 0.221 0.195
0.339 0.716 0.703
0.368 0.480 0.787
0.411 0.124 0.493
0.421 0.079 0.016
0.579 0.579 0.984
0.589 0.624 0.507
0.632 0.980 0.213
0.661 0.216 0.297
0.692 0.721 0.805
0.729 0.522 0.691
0.730 0.943 0.568
0.751 0.255 0.943
0.793 0.255 0.560
0.805 0.946 0.952
0.842 0.059 0.439
0.852 0.134 0.075
```

Peak list (10 most intense, 15° ≤ 2θ ≤ 90°, sorted by position)
15.40°, intensity 540
17.47°, intensity 296
20.85°, intensity 622
22.68°, intensity 1000
22.87°, intensity 756
23.07°, intensity 545
23.29°, intensity 437
25.59°, intensity 329
30.23°, intensity 710
33.71°, intensity 368

=====

Starting from DFT lattice parameters and positions (PBE), the powder diffraction line list of Li2BeCl4 was simulated for copper Kα.
Intensities are scaled so that the largest is 1000.

Structural model:
```
Li2BeCl4
1.0
12.638 0.000 0.000
0.000 7.380 0.000
0.000 0.000 5.851
Li Be Cl
8 4 16
Direct
0.000 0.000 0.000
0.000 0.500 0.000
0.231 0.250 0.495
0.269 0.750 0.995
0.500 0.000 0.500
0.500 0.500 0.500
0.731 0.250 0.005
0.769 0.750 0.505
0.090 0.750 0.601
0.410 0.250 0.101
0.590 0.750 0.899
0.910 0.250 0.399
0.060 0.250 0.260
0.091 0.750 0.258
0.164 0.528 0.738
0.164 0.972 0.738
0.336 0.028 0.238
0.336 0.472 0.238
0.409 0.250 0.758
0.440 0.750 0.760
0.560 0.250 0.240
0.591 0.750 0.242
0.664 0.528 0.762
0.664 0.972 0.762
0.836 0.028 0.262
0.836 0.472 0.262
0.909 0.250 0.742
0.940 0.750 0.740
```

Peak list (10 most intense, 15° ≤ 2θ ≤ 90°, sorted by position)
28.00°, intensity 251
30.56°, intensity 381
31.98°, intensity 1000
32.20°, intensity 549
41.92°, intensity 224
49.42°, intensity 135
49.85°, intensity 184
55.21°, intensity 204
59.61°, intensity 127
60.20°, intensity 110